Simulated XRD peak list of FeSO7 for Cu Ka, from a crystal structure in Alexandria, relaxed with PBE+U.
No peak broadening, texture or thermal motion is included.

Structural model:
```
FeSO7
1.0
6.4678 0.0000 0.0000
0.0000 6.9893 0.0000
-2.7721 0.0000 6.3036
Fe S O
2 2 14
Cartesian
0.0000 0.0000 0.0000
0.0000 3.4947 0.0000
0.6069 1.7473 2.4806
3.0888 5.2420 3.8230
-0.1315 5.2420 0.5081
-0.0809 0.5103 1.8347
-0.0809 2.9844 1.8347
0.2175 1.7473 3.8709
-0.0660 3.7642 6.1469
-0.0660 6.7198 6.1469
2.0152 1.7473 2.1717
1.6805 5.2420 4.1319
3.7617 0.2696 0.1567
3.7617 3.2251 0.1567
3.4783 5.2420 2.4327
3.7767 4.0049 4.4689
3.7767 6.4791 4.4689
3.8272 1.7473 5.7955
```

Top 10 peaks for 2θ from 10° to 80°, sorted by position:
2theta, Rel. int., (hkl)
14.05, 42, 0 0 1
14.96, 35, 1 0 0
15.88, 100, 1 0 -1
18.96, 18, 0 1 1
19.65, 57, 1 1 0
20.37, 24, 1 1 -1
27.64, 98, 2 0 -1
29.22, 78, 0 2 1
39.91, 19, 2 2 0
43.05, 20, 0 0 3